# 1
The following is a computed powder XRD pattern of DyCrTeO6. It was derived from DFT lattice parameters and positions (GGA+U), using Cu Kα.

```
data_DyCrTeO6
_symmetry_space_group_name_H-M 'P -3 1 c'
_symmetry_Int_Tables_number 163
_symmetry_space_group_name_Hall '-P 3 2c'
_cell_length_a 5.4064
_cell_length_b 5.4064
_cell_length_c 8.6543
_cell_angle_alpha 90.00
_cell_angle_beta 90.00
_cell_angle_gamma 120.00
loop_
_atom_site_label
_atom_site_fract_x
_atom_site_fract_y
_atom_site_fract_z
_atom_site_occupancy
Dy1 0.3333 0.6667 0.2500 1
Cr1 0.0000 0.0000 0.0000 1
Te1 0.3333 0.6667 0.7500 1
O1 0.0430 0.3537 0.8758 1
```

Principal peaks in the range 2θ from 10° to 90°, sorted by position:
2θ = 19.0°, intensity 252; 2θ = 20.5°, intensity 479; 2θ = 28.1°, intensity 1000; 2θ = 33.1°, intensity 702; 2θ = 39.3°, intensity 626; 2θ = 44.0°, intensity 288; 2θ = 54.3°, intensity 573; 2θ = 56.2°, intensity 274; 2θ = 59.2°, intensity 254; 2θ = 84.5°, intensity 148

# 2
The following is a computed powder XRD pattern of DyCrTeO6. It was derived from DFT lattice parameters and positions (GGA+U), using Cu Kα.

```
data_DyCrTeO6
_symmetry_space_group_name_H-M 'P -3 1 c'
_symmetry_Int_Tables_number 163
_symmetry_space_group_name_Hall '-P 3 2c'
_cell_length_a 5.1839
_cell_length_b 5.1839
_cell_length_c 9.8030
_cell_angle_alpha 90.00
_cell_angle_beta 90.00
_cell_angle_gamma 120.00
loop_
_atom_site_label
_atom_site_fract_x
_atom_site_fract_y
_atom_site_fract_z
_atom_site_occupancy
Dy1 0.0000 0.0000 0.0000 1
Cr1 0.3333 0.6667 0.2500 1
Te1 0.3333 0.6667 0.7500 1
O1 0.0104 0.3651 0.8606 1
```

Principal peaks in the range 2θ from 10° to 90°, sorted by position:
2θ = 21.8°, intensity 105; 2θ = 26.9°, intensity 1000; 2θ = 34.6°, intensity 344; 2θ = 44.4°, intensity 247; 2θ = 51.3°, intensity 378; 2θ = 57.5°, intensity 234; 2θ = 60.3°, intensity 98; 2θ = 62.0°, intensity 124; 2θ = 79.4°, intensity 93; 2θ = 81.8°, intensity 85

# 3
The following is a computed powder XRD pattern of ErCrO4. It was derived from DFT lattice parameters and positions (GGA+U), using Cu Kα.

```
data_ErCrO4
_symmetry_space_group_name_H-M 'I 41/a m d'
_symmetry_Int_Tables_number 141
_cell_length_a 7.1583
_cell_length_b 7.1583
_cell_length_c 6.2557
_cell_angle_alpha 90.00
_cell_angle_beta 90.00
_cell_angle_gamma 90.00
loop_
_symmetry_equiv_pos_as_xyz
'x,y,z'
'-x,-y,-z'
'-y+1/4,x+3/4,z+1/4'
'y+1/4,-x+3/4,-z+1/4'
'-x+1/2,-y,z+1/2'
'x+1/2,y,-z+1/2'
'y+1/4,-x+1/4,z+3/4'
'-y+1/4,x+1/4,-z+3/4'
'x,-y,-z'
'-x,y,z'
'-y+1/4,-x+1/4,-z+3/4'
'y+1/4,x+1/4,z+3/4'
'-x+1/2,y,-z+1/2'
'x+1/2,-y,z+1/2'
'y+1/4,x+3/4,-z+1/4'
'-y+1/4,-x+3/4,z+1/4'
'x+1/2,y+1/2,z+1/2'
'-x+1/2,-y+1/2,-z+1/2'
'-y+3/4,x+1/4,z+3/4'
'y+3/4,-x+1/4,-z+3/4'
'-x,-y+1/2,z'
'x,y+1/2,-z'
'y+3/4,-x+3/4,z+1/4'
'-y+3/4,x+3/4,-z+1/4'
'x+1/2,-y+1/2,-z+1/2'
'-x+1/2,y+1/2,z+1/2'
'-y+3/4,-x+3/4,-z+1/4'
'y+3/4,x+3/4,z+1/4'
'-x,y+1/2,-z'
'x,-y+1/2,z'
'y+3/4,x+1/4,-z+3/4'
'-y+3/4,-x+1/4,z+3/4'
loop_
_atom_site_label
_atom_site_fract_x
_atom_site_fract_y
_atom_site_fract_z
_atom_site_occupancy
Er1 0.0000 0.2500 0.3750 1
Cr1 0.0000 0.2500 0.8750 1
O1 0.0000 0.0649 0.6989 1
```

Principal peaks in the range 2θ from 10° to 90°, sorted by position:
2θ = 18.8°, intensity 402; 2θ = 24.9°, intensity 1000; 2θ = 31.4°, intensity 137; 2θ = 33.7°, intensity 707; 2θ = 35.5°, intensity 224; 2θ = 40.5°, intensity 144; 2θ = 49.7°, intensity 587; 2θ = 51.0°, intensity 157; 2θ = 57.6°, intensity 141; 2θ = 62.6°, intensity 171

# 4
The following is a computed powder XRD pattern of ErCrO4. It was derived from DFT lattice parameters and positions (GGA+U), using Cu Kα.

```
data_ErCrO4
_symmetry_space_group_name_H-M 'I 41/a'
_symmetry_Int_Tables_number 88
_cell_length_a 5.0256
_cell_length_b 5.0256
_cell_length_c 11.2440
_cell_angle_alpha 90.00
_cell_angle_beta 90.00
_cell_angle_gamma 90.00
loop_
_symmetry_equiv_pos_as_xyz
'x,y,z'
'-x,-y,-z'
'-y+3/4,x+1/4,z+1/4'
'y+3/4,-x+1/4,-z+1/4'
'-x+1/2,-y,z+1/2'
'x+1/2,y,-z+1/2'
'y+3/4,-x+3/4,z+3/4'
'-y+3/4,x+3/4,-z+3/4'
'x+1/2,y+1/2,z+1/2'
'-x+1/2,-y+1/2,-z+1/2'
'-y+1/4,x+3/4,z+3/4'
'y+1/4,-x+3/4,-z+3/4'
'-x,-y+1/2,z'
'x,y+1/2,-z'
'y+1/4,-x+1/4,z+1/4'
'-y+1/4,x+1/4,-z+1/4'
loop_
_atom_site_label
_atom_site_fract_x
_atom_site_fract_y
_atom_site_fract_z
_atom_site_occupancy
Er1 0.0000 0.2500 0.1250 1
Cr1 0.0000 0.2500 0.6250 1
O1 0.1461 0.4908 0.2969 1
```

Principal peaks in the range 2θ from 10° to 90°, sorted by position:
2θ = 19.3°, intensity 292; 2θ = 29.7°, intensity 1000; 2θ = 31.8°, intensity 152; 2θ = 35.7°, intensity 188; 2θ = 40.9°, intensity 150; 2θ = 48.6°, intensity 268; 2θ = 51.4°, intensity 114; 2θ = 55.4°, intensity 186; 2θ = 60.5°, intensity 300; 2θ = 79.0°, intensity 131

# 5
The following is a computed powder XRD pattern of ErCr2O2. It was derived from DFT lattice parameters and positions (GGA+U), using Cu Kα.

```
data_ErCr2O2
_symmetry_space_group_name_H-M 'I 41/a m d'
_symmetry_Int_Tables_number 141
_cell_length_a 8.8218
_cell_length_b 8.8218
_cell_length_c 9.6489
_cell_angle_alpha 90.00
_cell_angle_beta 90.00
_cell_angle_gamma 90.00
loop_
_symmetry_equiv_pos_as_xyz
'x,y,z'
'-x,-y,-z'
'-y+1/4,x+3/4,z+1/4'
'y+1/4,-x+3/4,-z+1/4'
'-x+1/2,-y,z+1/2'
'x+1/2,y,-z+1/2'
'y+1/4,-x+1/4,z+3/4'
'-y+1/4,x+1/4,-z+3/4'
'x,-y,-z'
'-x,y,z'
'-y+1/4,-x+1/4,-z+3/4'
'y+1/4,x+1/4,z+3/4'
'-x+1/2,y,-z+1/2'
'x+1/2,-y,z+1/2'
'y+1/4,x+3/4,-z+1/4'
'-y+1/4,-x+3/4,z+1/4'
'x+1/2,y+1/2,z+1/2'
'-x+1/2,-y+1/2,-z+1/2'
'-y+3/4,x+1/4,z+3/4'
'y+3/4,-x+1/4,-z+3/4'
'-x,-y+1/2,z'
'x,y+1/2,-z'
'y+3/4,-x+3/4,z+1/4'
'-y+3/4,x+3/4,-z+1/4'
'x+1/2,-y+1/2,-z+1/2'
'-x+1/2,y+1/2,z+1/2'
'-y+3/4,-x+3/4,-z+1/4'
'y+3/4,x+3/4,z+1/4'
'-x,y+1/2,-z'
'x,-y+1/2,z'
'y+3/4,x+1/4,-z+3/4'
'-y+3/4,-x+1/4,z+3/4'
loop_
_atom_site_label
_atom_site_fract_x
_atom_site_fract_y
_atom_site_fract_z
_atom_site_occupancy
Er1 0.0000 0.0000 0.0000 1
Cr1 0.0000 0.0523 0.6416 1
O1 0.0000 0.0958 0.2010 1
```

Principal peaks in the range 2θ from 10° to 90°, sorted by position:
2θ = 13.6°, intensity 520; 2θ = 24.4°, intensity 236; 2θ = 27.4°, intensity 497; 2θ = 28.6°, intensity 1000; 2θ = 29.6°, intensity 281; 2θ = 36.0°, intensity 521; 2θ = 40.9°, intensity 304; 2θ = 41.6°, intensity 224; 2θ = 50.0°, intensity 337; 2θ = 52.8°, intensity 210

# 6
The following is a computed powder XRD pattern of ErCrTeO6. It was derived from DFT lattice parameters and positions (GGA+U), using Cu Kα.

```
data_ErCrTeO6
_symmetry_space_group_name_H-M 'P -3 1 c'
_symmetry_Int_Tables_number 163
_symmetry_space_group_name_Hall '-P 3 2c'
_cell_length_a 5.3848
_cell_length_b 5.3848
_cell_length_c 8.6232
_cell_angle_alpha 90.00
_cell_angle_beta 90.00
_cell_angle_gamma 120.00
loop_
_atom_site_label
_atom_site_fract_x
_atom_site_fract_y
_atom_site_fract_z
_atom_site_occupancy
Er1 0.3333 0.6667 0.2500 1
Cr1 0.0000 0.0000 0.0000 1
Te1 0.3333 0.6667 0.7500 1
O1 0.0390 0.3529 0.8760 1
```

Principal peaks in the range 2θ from 10° to 90°, sorted by position:
2θ = 19.0°, intensity 262; 2θ = 20.6°, intensity 487; 2θ = 28.2°, intensity 1000; 2θ = 33.3°, intensity 707; 2θ = 39.5°, intensity 636; 2θ = 44.2°, intensity 288; 2θ = 54.5°, intensity 575; 2θ = 56.4°, intensity 274; 2θ = 59.5°, intensity 256; 2θ = 84.9°, intensity 150

# 7
The following is a computed powder XRD pattern of ErCrTeO6. It was derived from DFT lattice parameters and positions (GGA+U), using Cu Kα.

```
data_ErCrTeO6
_symmetry_space_group_name_H-M 'P -3 1 c'
_symmetry_Int_Tables_number 163
_symmetry_space_group_name_Hall '-P 3 2c'
_cell_length_a 5.1896
_cell_length_b 5.1896
_cell_length_c 9.6965
_cell_angle_alpha 90.00
_cell_angle_beta 90.00
_cell_angle_gamma 120.00
loop_
_atom_site_label
_atom_site_fract_x
_atom_site_fract_y
_atom_site_fract_z
_atom_site_occupancy
Er1 0.0000 0.0000 0.0000 1
Cr1 0.3333 0.6667 0.2500 1
Te1 0.3333 0.6667 0.7500 1
O1 0.0105 0.3630 0.8615 1
```

Principal peaks in the range 2θ from 10° to 90°, sorted by position:
2θ = 21.8°, intensity 102; 2θ = 27.1°, intensity 1000; 2θ = 34.6°, intensity 347; 2θ = 44.4°, intensity 251; 2θ = 51.6°, intensity 373; 2θ = 57.5°, intensity 238; 2θ = 60.9°, intensity 97; 2θ = 61.9°, intensity 125; 2θ = 79.4°, intensity 94; 2θ = 82.4°, intensity 89

# 8
The following is a computed powder XRD pattern of NdEuHfCrO6. It was derived from DFT lattice parameters and positions (GGA+U), using Cu Kα.

```
data_NdEuHfCrO6
_symmetry_space_group_name_H-M 'F -4 3 m'
_symmetry_Int_Tables_number 216
_symmetry_space_group_name_Hall 'F -4 2 3'
_cell_length_a 8.0064
_cell_length_b 8.0064
_cell_length_c 8.0064
_cell_angle_alpha 90.00
_cell_angle_beta 90.00
_cell_angle_gamma 90.00
loop_
_atom_site_label
_atom_site_fract_x
_atom_site_fract_y
_atom_site_fract_z
_atom_site_occupancy
Nd1 0.0000 0.0000 0.0000 1
Eu1 0.0000 0.0000 0.5000 1
Hf1 0.2500 0.2500 0.2500 1
Cr1 0.2500 0.2500 0.7500 1
O1 0.0039 0.2500 0.7500 1
```

Principal peaks in the range 2θ from 10° to 90°, sorted by position:
2θ = 19.2°, intensity 127; 2θ = 31.6°, intensity 1000; 2θ = 37.2°, intensity 80; 2θ = 39.0°, intensity 42; 2θ = 45.3°, intensity 290; 2θ = 49.6°, intensity 39; 2θ = 56.3°, intensity 395; 2θ = 66.0°, intensity 177; 2θ = 75.0°, intensity 171; 2θ = 83.7°, intensity 60

# 9
The following is a computed powder XRD pattern of PrEuHfCrO6. It was derived from DFT lattice parameters and positions (GGA+U), using Cu Kα.

```
data_PrEuHfCrO6
_symmetry_space_group_name_H-M 'F -4 3 m'
_symmetry_Int_Tables_number 216
_symmetry_space_group_name_Hall 'F -4 2 3'
_cell_length_a 8.0102
_cell_length_b 8.0102
_cell_length_c 8.0102
_cell_angle_alpha 90.00
_cell_angle_beta 90.00
_cell_angle_gamma 90.00
loop_
_atom_site_label
_atom_site_fract_x
_atom_site_fract_y
_atom_site_fract_z
_atom_site_occupancy
Pr1 0.0000 0.0000 0.0000 1
Eu1 0.0000 0.0000 0.5000 1
Hf1 0.2500 0.2500 0.2500 1
Cr1 0.2500 0.2500 0.7500 1
O1 0.0034 0.2500 0.7500 1
```

Principal peaks in the range 2θ from 10° to 90°, sorted by position:
2θ = 19.2°, intensity 129; 2θ = 31.6°, intensity 1000; 2θ = 37.2°, intensity 81; 2θ = 38.9°, intensity 41; 2θ = 45.3°, intensity 290; 2θ = 49.6°, intensity 39; 2θ = 56.3°, intensity 395; 2θ = 66.0°, intensity 177; 2θ = 75.0°, intensity 171; 2θ = 83.6°, intensity 60

# 10
The following is a computed powder XRD pattern of EuHfCrSnO6. It was derived from DFT lattice parameters and positions (GGA+U), using Cu Kα.

```
data_EuHfCrSnO6
_symmetry_space_group_name_H-M 'F -4 3 m'
_symmetry_Int_Tables_number 216
_symmetry_space_group_name_Hall 'F -4 2 3'
_cell_length_a 8.0460
_cell_length_b 8.0460
_cell_length_c 8.0460
_cell_angle_alpha 90.00
_cell_angle_beta 90.00
_cell_angle_gamma 90.00
loop_
_atom_site_label
_atom_site_fract_x
_atom_site_fract_y
_atom_site_fract_z
_atom_site_occupancy
Eu1 0.0000 0.0000 0.0000 1
Hf1 0.2500 0.2500 0.7500 1
Cr1 0.2500 0.2500 0.2500 1
Sn1 0.0000 0.0000 0.5000 1
O1 0.0060 0.2500 0.2500 1
```

Principal peaks in the range 2θ from 10° to 90°, sorted by position:
2θ = 19.1°, intensity 145; 2θ = 31.4°, intensity 1000; 2θ = 37.1°, intensity 94; 2θ = 38.8°, intensity 35; 2θ = 45.1°, intensity 297; 2θ = 49.4°, intensity 46; 2θ = 56.0°, intensity 400; 2θ = 65.6°, intensity 183; 2θ = 74.6°, intensity 176; 2θ = 83.2°, intensity 63

# 11
The following is a computed powder XRD pattern of EuHfCrSnO6. It was derived from DFT lattice parameters and positions (GGA+U), using Cu Kα.

```
data_EuHfCrSnO6
_symmetry_space_group_name_H-M 'P 2 2 2'
_symmetry_Int_Tables_number 16
_symmetry_space_group_name_Hall 'P 2 2'
_cell_length_a 8.6559
_cell_length_b 8.6754
_cell_length_c 8.7818
_cell_angle_alpha 90.00
_cell_angle_beta 90.00
_cell_angle_gamma 90.00
loop_
_atom_site_label
_atom_site_fract_x
_atom_site_fract_y
_atom_site_fract_z
_atom_site_occupancy
Eu1 0.0000 0.0000 0.0000 1
Eu2 0.0000 0.0000 0.5000 1
Eu3 0.0000 0.5000 0.0000 1
Eu4 0.5000 0.5000 0.5000 1
Hf1 0.2512 0.2556 0.7590 1
Cr1 0.2545 0.2491 0.2479 1
Sn1 0.0000 0.5000 0.5000 1
Sn2 0.5000 0.0000 0.0000 1
Sn3 0.5000 0.0000 0.5000 1
Sn4 0.5000 0.5000 0.0000 1
O1 0.0130 0.2059 0.7210 1
O2 0.2020 0.2848 0.9865 1
O3 0.2156 0.4897 0.7102 1
O4 0.2799 0.0049 0.7954 1
O5 0.2944 0.2131 0.5067 1
O6 0.4940 0.2984 0.7812 1
```

Principal peaks in the range 2θ from 10° to 90°, sorted by position:
2θ = 17.6°, intensity 235; 2θ = 29.0°, intensity 1000; 2θ = 29.1°, intensity 491; 2θ = 41.1°, intensity 143; 2θ = 41.7°, intensity 274; 2θ = 51.2°, intensity 225; 2θ = 51.6°, intensity 453; 2θ = 60.0°, intensity 166; 2θ = 82.6°, intensity 112; 2θ = 83.4°, intensity 113

# 12
The following is a computed powder XRD pattern of SrEuHfCrO6. It was derived from DFT lattice parameters and positions (GGA+U), using Cu Kα.

```
data_SrEuHfCrO6
_symmetry_space_group_name_H-M 'F -4 3 m'
_symmetry_Int_Tables_number 216
_symmetry_space_group_name_Hall 'F -4 2 3'
_cell_length_a 8.0262
_cell_length_b 8.0262
_cell_length_c 8.0262
_cell_angle_alpha 90.00
_cell_angle_beta 90.00
_cell_angle_gamma 90.00
loop_
_atom_site_label
_atom_site_fract_x
_atom_site_fract_y
_atom_site_fract_z
_atom_site_occupancy
Sr1 0.0000 0.0000 0.0000 1
Eu1 0.0000 0.0000 0.5000 1
Hf1 0.2500 0.2500 0.7500 1
Cr1 0.2500 0.2500 0.2500 1
O1 0.0051 0.2500 0.2500 1
```

Principal peaks in the range 2θ from 10° to 90°, sorted by position:
2θ = 19.2°, intensity 204; 2θ = 31.5°, intensity 1000; 2θ = 37.2°, intensity 130; 2θ = 45.2°, intensity 304; 2θ = 49.5°, intensity 63; 2θ = 56.1°, intensity 394; 2θ = 59.9°, intensity 44; 2θ = 65.8°, intensity 185; 2θ = 74.8°, intensity 171; 2θ = 83.4°, intensity 62